FeCoBO4: theoretical powder XRD pattern (Cu Kα (λ = 1.5418 Å)), based on DFT lattice parameters and positions (PBE+U).
Intensities are scaled so that the largest is 100.

Cell: 9.4000 3.1448 9.5091 Å, 90.00 90.00 90.00°
Space group Pnma (No. 62)
Symmetry-distinct sites (fractional):
Fe 0.1191 0.2500 0.0670
Co 0.1015 0.2500 0.6860
B 0.1673 0.2500 0.3704
O 0.0065 0.2500 0.8850
O 0.0234 0.2500 0.3701
O 0.2417 0.2500 0.4994
O 0.2439 0.2500 0.2440

Principal peaks in the range 10° ≤ 2θ ≤ 90°, sorted by position:
- 2θ = 20.9°, d = 4.243 Å, I 34.1, (1 0 2)
- 2θ = 29.7°, d = 3.004 Å, I 28.1, (1 0 3)
- 2θ = 34.1°, d = 2.628 Å, I 30.7, (2 0 3)
- 2θ = 34.3°, d = 2.614 Å, I 100.0, (2 1 0)
- 2θ = 35.6°, d = 2.523 Å, I 17.0, (2 1 1)
- 2θ = 50.2°, d = 1.818 Å, I 22.3, (3 1 3)
- 2θ = 56.9°, d = 1.618 Å, I 21.6, (4 1 3)
- 2θ = 60.6°, d = 1.528 Å, I 17.8, (5 1 2)